No. 1
For Pm5TlOs2, a structure optimized by DFT (PBE) gives the calculated powder diffraction line list in this record (Cu Kα (λ = 1.5418 Å)).

Main lines, in order of falling intensity (5 to 70 degrees two-theta):
| 2theta | d/Å | I/Imax |
| --- | --- | --- |
| 31.45 | 2.844 | 100 |
| 33.55 | 2.671 | 68 |
| 36.24 | 2.479 | 60 |
| 40.20 | 2.243 | 35 |
| 20.12 | 4.414 | 27 |
| 12.13 | 7.299 | 25 |

Structure:
a b c (Å): 9.1648 9.1648 9.1648
angles (deg): 129.36 129.36 74.43
Fractional positions:
1 Pm 0.0000 0.0000 0.0000
2 Pm 0.0448 0.5448 0.8532
3 Pm 0.1916 0.0448 0.5000
4 Pm 0.3084 0.8084 0.8532
5 Pm 0.4552 0.3084 0.5000
6 Pm 0.5000 0.5000 0.0000
7 Pm 0.5448 0.6916 0.5000
8 Pm 0.6916 0.1916 0.1468
9 Pm 0.8084 0.9552 0.5000
10 Pm 0.9552 0.4552 0.1468
11 Tl 0.2500 0.2500 0.0000
12 Tl 0.7500 0.7500 0.0000
13 Os 0.1166 0.3834 0.5000
14 Os 0.3834 0.8834 0.2667
15 Os 0.6166 0.1166 0.7333
16 Os 0.8834 0.6166 0.5000



No. 2
For PmTm4Os2, a structure optimized by DFT (PBE) gives the calculated powder diffraction line list in this record (Cu Kα (λ = 1.5418 Å)).

Main lines, in order of falling intensity (5 to 70 degrees two-theta):
| 2theta | d/Å | I/Imax |
| --- | --- | --- |
| 31.04 | 2.881 | 100 |
| 36.69 | 2.450 | 79 |
| 38.31 | 2.350 | 74 |
| 37.13 | 2.421 | 58 |
| 33.83 | 2.650 | 56 |
| 34.53 | 2.597 | 55 |

Structure:
a b c (Å): 7.6884 6.2607 7.9544
angles (deg): 90.00 112.34 90.00
Fractional positions:
1 Pm 0.0195 0.2500 0.1603
2 Pm 0.9805 0.7500 0.8397
3 Tm 0.2420 0.5008 0.5798
4 Tm 0.2420 0.9992 0.5798
5 Tm 0.3281 0.7500 0.2569
6 Tm 0.3831 0.2500 0.0191
7 Tm 0.6169 0.7500 0.9809
8 Tm 0.6719 0.2500 0.7431
9 Tm 0.7580 0.0008 0.4202
10 Tm 0.7580 0.4992 0.4202
11 Os 0.0272 0.2500 0.7378
12 Os 0.4161 0.2500 0.3741
13 Os 0.5839 0.7500 0.6259
14 Os 0.9728 0.7500 0.2622



No. 3
For Pr2Os3, a structure optimized by DFT (PBE) gives the calculated powder diffraction line list in this record (Cu Kα (λ = 1.5418 Å)).

Main lines, in order of falling intensity (5 to 70 degrees two-theta):
| 2theta | d/Å | I/Imax |
| --- | --- | --- |
| 41.13 | 2.195 | 100 |
| 32.43 | 2.761 | 88 |
| 18.52 | 4.791 | 51 |
| 63.73 | 1.460 | 45 |
| 40.88 | 2.208 | 43 |
| 34.66 | 2.588 | 36 |

Structure:
a b c (Å): 5.8913 5.8913 5.8913
angles (deg): 135.98 127.14 71.16
Fractional positions:
1 Pr 0.1937 0.1937 0.0000
2 Pr 0.8063 0.8063 0.0000
3 Os 0.2335 0.5000 0.7335
4 Os 0.5000 0.0000 0.5000
5 Os 0.7665 0.5000 0.2665



No. 4
For Pr4OsPt, a structure optimized by DFT (PBE) gives the calculated powder diffraction line list in this record (Cu Kα (λ = 1.5418 Å)).

Main lines, in order of falling intensity (5 to 70 degrees two-theta):
| 2theta | d/Å | I/Imax |
| --- | --- | --- |
| 30.96 | 2.889 | 100 |
| 29.76 | 3.002 | 97 |
| 32.87 | 2.725 | 83 |
| 34.57 | 2.595 | 78 |
| 37.31 | 2.410 | 68 |
| 40.01 | 2.254 | 67 |

Structure:
a b c (Å): 8.2379 8.2379 6.4845
angles (deg): 107.71 107.71 111.60
Fractional positions:
1 Pr 0.0499 0.6992 0.9063
2 Pr 0.2333 0.3649 0.7215
3 Pr 0.3008 0.9501 0.5937
4 Pr 0.3649 0.2333 0.2215
5 Pr 0.6351 0.7667 0.7785
6 Pr 0.6992 0.0499 0.4063
7 Pr 0.7667 0.6351 0.2785
8 Pr 0.9501 0.3008 0.0937
9 Os 0.0033 0.9967 0.2500
10 Os 0.9967 0.0033 0.7500
11 Pt 0.3657 0.6343 0.2500
12 Pt 0.6343 0.3657 0.7500